[1]
# MgTe2Mo2W2Se4S2
Theoretical powder XRD pattern, Cu Kα (weighted mean of Kα1 and Kα2). Input: the PBE geometry in the Materials Project.
Lines closer than 0.1° are merged.

Most intense lines, 2θ from 10° to 80°, sorted by position:
2θ (°)  d_spacing  I_rel
11.53  7.671  100
13.85  6.393  17
30.96  2.888  36
33.13  2.704  15
36.30  2.475  69
39.03  2.308  15
43.85  2.064  40
45.63  1.988  14
55.05  1.668  25
77.49  1.232  11

Cell: 3.337 3.337 38.357 Å, 90.00 90.00 60.00°
Fractional coordinates of all 13 atoms:
Mg: 0.000 0.000 0.000
Te: 0.023 0.984 0.177
Te: 0.023 0.984 0.276
Mo: 0.689 0.650 0.227
Mo: 0.689 0.650 0.603
W: 0.023 0.984 0.415
W: 0.023 0.984 0.791
Se: 0.689 0.650 0.371
Se: 0.689 0.650 0.459
Se: 0.689 0.650 0.747
Se: 0.689 0.650 0.834
S: 0.023 0.984 0.563
S: 0.023 0.984 0.642


[2]
# Fe3B
Theoretical powder XRD pattern, Cu Kα (weighted mean of Kα1 and Kα2). Input: the PBE geometry in the Materials Project.
Lines closer than 0.1° are merged.

Most intense lines, 2θ from 10° to 80°, sorted by position:
2θ (°)  d_spacing  I_rel
21.68  4.099  3
38.02  2.367  21
41.45  2.178  25
43.52  2.080  100
44.19  2.049  3
47.25  1.924  2
57.50  1.603  16
63.76  1.460  6
68.70  1.366  15
77.05  1.238  16

Cell: 4.733 4.733 4.357 Å, 90.00 90.00 120.00°
Fractional coordinates of all 8 atoms:
Fe: 0.000 0.306 0.000
Fe: 0.000 0.694 0.500
Fe: 0.306 0.000 0.000
Fe: 0.306 0.306 0.500
Fe: 0.694 0.000 0.500
Fe: 0.694 0.694 0.000
B: 0.333 0.667 0.750
B: 0.667 0.333 0.250


[3]
# CaGd2O4
Theoretical powder XRD pattern, Cu Kα (weighted mean of Kα1 and Kα2). Input: the PBE geometry in the Materials Project.
Lines closer than 0.1° are merged.

Most intense lines, 2θ from 10° to 80°, sorted by position:
2θ (°)  d_spacing  I_rel
17.27  5.134  37
17.63  5.030  29
29.94  2.985  43
30.58  2.924  89
31.36  2.852  100
31.57  2.834  47
44.06  2.055  47
44.68  2.028  28
54.72  1.677  36
62.81  1.479  23

Cell: 10.060 3.430 11.939 Å, 90.00 90.00 90.00°
Fractional coordinates of all 28 atoms:
Ca: 0.250 0.250 0.148
Ca: 0.250 0.750 0.648
Ca: 0.750 0.250 0.352
Ca: 0.750 0.750 0.852
Gd: 0.079 0.250 0.386
Gd: 0.079 0.250 0.888
Gd: 0.421 0.750 0.388
Gd: 0.421 0.750 0.886
Gd: 0.579 0.250 0.114
Gd: 0.579 0.250 0.612
Gd: 0.921 0.750 0.112
Gd: 0.921 0.750 0.614
O: 0.023 0.750 0.781
O: 0.079 0.250 0.580
O: 0.134 0.750 0.024
O: 0.211 0.750 0.308
O: 0.289 0.250 0.808
O: 0.366 0.250 0.524
O: 0.421 0.750 0.080
O: 0.477 0.250 0.281
O: 0.523 0.750 0.719
O: 0.579 0.250 0.920
O: 0.634 0.750 0.476
O: 0.711 0.750 0.192
O: 0.789 0.250 0.692
O: 0.866 0.250 0.976
O: 0.921 0.750 0.420
O: 0.977 0.250 0.219


[4]
# NaTiSi2O6
Theoretical powder XRD pattern, Cu Kα (weighted mean of Kα1 and Kα2). Input: the PBE geometry in the Materials Project.
Lines closer than 0.1° are merged.

Most intense lines, 2θ from 10° to 80°, sorted by position:
2θ (°)  d_spacing  I_rel
13.66  6.483  25
20.06  4.425  31
29.73  3.005  100
29.86  2.992  48
35.16  2.552  62
35.51  2.528  38
40.37  2.234  17
42.22  2.141  18
56.07  1.640  35
64.98  1.435  19

Cell: 6.647 6.647 5.312 Å, 102.01 102.01 83.30°
Fractional coordinates of all 20 atoms:
Na: 0.195 0.805 0.750
Na: 0.805 0.195 0.250
Ti: 0.412 0.588 0.250
Ti: 0.588 0.412 0.750
Si: 0.114 0.300 0.759
Si: 0.300 0.114 0.259
Si: 0.700 0.886 0.741
Si: 0.886 0.700 0.241
O: 0.121 0.608 0.309
O: 0.141 0.158 0.987
O: 0.158 0.141 0.487
O: 0.294 0.466 0.849
O: 0.392 0.879 0.191
O: 0.466 0.294 0.349
O: 0.534 0.706 0.651
O: 0.608 0.121 0.809
O: 0.706 0.534 0.151
O: 0.842 0.859 0.513
O: 0.859 0.842 0.013
O: 0.879 0.392 0.691


[5]
# LiPu3
Theoretical powder XRD pattern, Cu Kα (weighted mean of Kα1 and Kα2). Input: the PBE geometry in the Materials Project.
Lines closer than 0.1° are merged.

Most intense lines, 2θ from 10° to 80°, sorted by position:
2θ (°)  d_spacing  I_rel
23.21  3.833  25
26.86  3.320  13
38.35  2.347  100
45.30  2.002  13
47.44  1.917  4
55.35  1.660  18
60.82  1.523  6
62.57  1.485  5
69.34  1.355  37
74.22  1.278  4

Cell: 6.639 6.639 6.639 Å, 90.00 90.00 90.00°
Fractional coordinates of all 16 atoms:
Li: 0.000 0.000 0.000
Li: 0.000 0.500 0.500
Li: 0.500 0.000 0.500
Li: 0.500 0.500 0.000
Pu: 0.000 0.000 0.500
Pu: 0.000 0.500 0.000
Pu: 0.250 0.250 0.250
Pu: 0.250 0.250 0.750
Pu: 0.250 0.750 0.250
Pu: 0.250 0.750 0.750
Pu: 0.500 0.000 0.000
Pu: 0.500 0.500 0.500
Pu: 0.750 0.250 0.250
Pu: 0.750 0.250 0.750
Pu: 0.750 0.750 0.250
Pu: 0.750 0.750 0.750


[6]
# Cs2KSmCl6
Theoretical powder XRD pattern, Cu Kα (weighted mean of Kα1 and Kα2). Input: the PBE geometry in the Materials Project.
Lines closer than 0.1° are merged.

Most intense lines, 2θ from 10° to 80°, sorted by position:
2θ (°)  d_spacing  I_rel
13.37  6.621  23
21.92  4.054  100
26.93  3.310  23
31.20  2.867  63
38.46  2.341  46
44.70  2.027  44
50.32  1.813  23
55.52  1.655  15
60.41  1.532  26
73.92  1.282  18

Cell: 8.109 8.109 8.109 Å, 60.00 60.00 60.00°
Fractional coordinates of all 10 atoms:
Cs: 0.250 0.250 0.250
Cs: 0.750 0.750 0.750
K: 0.000 0.000 0.000
Sm: 0.500 0.500 0.500
Cl: 0.265 0.265 0.735
Cl: 0.265 0.735 0.265
Cl: 0.265 0.735 0.735
Cl: 0.735 0.265 0.265
Cl: 0.735 0.265 0.735
Cl: 0.735 0.735 0.265


[7]
# Sb2F13
Theoretical powder XRD pattern, Cu Kα (weighted mean of Kα1 and Kα2). Input: the PBE geometry in the Materials Project.
Lines closer than 0.1° are merged.

Most intense lines, 2θ from 10° to 80°, sorted by position:
2θ (°)  d_spacing  I_rel
14.38  6.161  90
14.49  6.112  51
19.75  4.495  43
20.50  4.333  100
22.41  3.968  80
22.76  3.907  77
23.40  3.801  44
23.62  3.767  57
25.91  3.438  46
41.62  2.170  50

Cell: 5.362 6.910 7.676 Å, 116.52 94.87 95.54°
Fractional coordinates of all 15 atoms:
Sb: 0.186 0.159 0.288
Sb: 0.814 0.841 0.712
F: 0.000 0.000 0.000
F: 0.065 0.411 0.293
F: 0.123 0.923 0.640
F: 0.277 0.880 0.234
F: 0.363 0.305 0.548
F: 0.391 0.447 0.932
F: 0.467 0.213 0.172
F: 0.533 0.787 0.828
F: 0.609 0.553 0.068
F: 0.637 0.695 0.452
F: 0.723 0.120 0.766
F: 0.877 0.077 0.360
F: 0.935 0.589 0.707


[8]
# BaLu2S4
Theoretical powder XRD pattern, Cu Kα (weighted mean of Kα1 and Kα2). Input: the PBE geometry in the Materials Project.
Lines closer than 0.1° are merged.

Most intense lines, 2θ from 10° to 80°, sorted by position:
2θ (°)  d_spacing  I_rel
24.76  3.595  44
25.11  3.546  100
26.56  3.356  75
26.67  3.343  36
30.03  2.975  27
36.70  2.449  49
37.04  2.427  28
45.07  2.012  28
45.44  1.996  25
52.62  1.739  28

Cell: 12.229 3.992 14.381 Å, 90.00 90.00 90.00°
Fractional coordinates of all 28 atoms:
Ba: 0.241 0.250 0.163
Ba: 0.259 0.750 0.663
Ba: 0.741 0.250 0.337
Ba: 0.759 0.750 0.837
Lu: 0.066 0.250 0.392
Lu: 0.078 0.250 0.899
Lu: 0.422 0.750 0.399
Lu: 0.434 0.750 0.892
Lu: 0.566 0.250 0.108
Lu: 0.578 0.250 0.601
Lu: 0.922 0.750 0.101
Lu: 0.934 0.750 0.608
S: 0.024 0.750 0.783
S: 0.080 0.250 0.576
S: 0.122 0.750 0.022
S: 0.207 0.750 0.342
S: 0.293 0.250 0.842
S: 0.378 0.250 0.522
S: 0.420 0.750 0.076
S: 0.476 0.250 0.283
S: 0.524 0.750 0.717
S: 0.580 0.250 0.924
S: 0.622 0.750 0.478
S: 0.707 0.750 0.158
S: 0.793 0.250 0.658
S: 0.878 0.250 0.978
S: 0.920 0.750 0.424
S: 0.976 0.250 0.217